Record 1
# ScMo3O8
Computed powder diffraction line list, Cu Kα (λ = 1.5418 Å). Input: a PBE+U-relaxed structure.
Neutral-atom scattering factors, no anomalous dispersion.

Cell and atoms:
a = 4.624 Å, b = 6.064 Å, c = 6.087 Å
α = 119.38°, β = 90.33°, γ = 90.16°
Space group P1 (No. 1)
Symmetry-distinct sites (fractional):
Sc (0.000, 0.000, 0.000) (multiplicity 1)
Mo (0.500, 0.000, 0.499) (multiplicity 1)
Mo (0.500, 0.499, 0.999) (multiplicity 1)
Mo (0.500, 0.501, 0.499) (multiplicity 1)
O (0.264, 0.318, 0.658) (multiplicity 1)
O (0.265, 0.336, 0.170) (multiplicity 1)
O (0.267, 0.831, 0.168) (multiplicity 1)
O (0.268, 0.839, 0.654) (multiplicity 1)
O (0.731, 0.163, 0.345) (multiplicity 1)
O (0.734, 0.169, 0.831) (multiplicity 1)
O (0.735, 0.664, 0.828) (multiplicity 1)
O (0.736, 0.682, 0.340) (multiplicity 1)

Peak list (6 most intense, 10° ≤ 2θ ≤ 90°, in order of rising 2θ)
(hkl), 2θ (°), I (rel.)
1 0 0, 19.19, 100
1 0 -1, 25.48, 31
1 -1 1, 25.68, 58
1 0 2, 39.32, 33
1 2 -2, 39.48, 32
2 2 -2, 52.77, 57



Record 2
# ScMo3O8
Computed powder diffraction line list, Cu Kα (λ = 1.5418 Å). Input: a PBE+U-relaxed structure.
Neutral-atom scattering factors, no anomalous dispersion.

Cell and atoms:
a = 5.8610 Å, b = 5.8610 Å, c = 10.2131 Å
α = 90.00°, β = 90.00°, γ = 120.00°
Space group P6_3mc (No. 186)
Symmetry-distinct sites (fractional):
Sc (0.3333, 0.6667, 0.0000) (multiplicity 2)
Mo (0.1511, 0.3023, 0.7446) (multiplicity 6)
O (0.0000, 0.0000, 0.3822) (multiplicity 2)
O (0.0314, 0.5157, 0.8542) (multiplicity 6)
O (0.1686, 0.3372, 0.1297) (multiplicity 6)
O (0.3333, 0.6667, 0.6481) (multiplicity 2)

Peak list (6 most intense, 10° ≤ 2θ ≤ 90°, in order of rising 2θ)
(hkl), 2θ (°), I (rel.)
0 0 2, 17.37, 100
1 0 1, 19.53, 46
1 0 2, 24.73, 33
1 1 2, 35.33, 38
2 0 1, 36.48, 52
2 0 3, 44.53, 55



Record 3
# ScMo3O8
Computed powder diffraction line list, Cu Kα (λ = 1.5418 Å). Input: a PBE+U-relaxed structure.
Neutral-atom scattering factors, no anomalous dispersion.

Cell and atoms:
a = 4.552 Å, b = 6.086 Å, c = 6.193 Å
α = 119.22°, β = 90.63°, γ = 90.27°
Space group P1 (No. 1)
Symmetry-distinct sites (fractional):
Sc (0.000, 0.000, 0.000) (multiplicity 1)
Mo (0.492, 0.506, 0.509) (multiplicity 1)
Mo (0.496, 0.502, 0.007) (multiplicity 1)
Mo (0.501, 0.006, 0.503) (multiplicity 1)
O (0.263, 0.840, 0.659) (multiplicity 1)
O (0.265, 0.322, 0.669) (multiplicity 1)
O (0.265, 0.340, 0.178) (multiplicity 1)
O (0.265, 0.834, 0.175) (multiplicity 1)
O (0.725, 0.684, 0.346) (multiplicity 1)
O (0.728, 0.171, 0.836) (multiplicity 1)
O (0.729, 0.663, 0.834) (multiplicity 1)
O (0.730, 0.166, 0.353) (multiplicity 1)

Peak list (6 most intense, 10° ≤ 2θ ≤ 90°, in order of rising 2θ)
(hkl), 2θ (°), I (rel.)
1 0 0, 19.50, 100
1 -1 1, 25.80, 44
0 0 2, 33.15, 28
1 0 2, 39.05, 59
1 2 -2, 39.31, 28
2 2 -2, 52.98, 32



Record 4
# ScMo3O8
Computed powder diffraction line list, Cu Kα (λ = 1.5418 Å). Input: a PBE+U-relaxed structure.
Neutral-atom scattering factors, no anomalous dispersion.

Cell and atoms:
a = 4.906 Å, b = 5.759 Å, c = 5.762 Å
α = 60.63°, β = 89.82°, γ = 89.86°
Space group P1 (No. 1)
Symmetry-distinct sites (fractional):
Sc (0.000, 0.000, 0.000) (multiplicity 1)
Mo (0.519, 0.476, 0.476) (multiplicity 1)
Mo (0.524, 0.022, 0.486) (multiplicity 1)
Mo (0.524, 0.486, 0.021) (multiplicity 1)
O (0.273, 0.162, 0.662) (multiplicity 1)
O (0.273, 0.663, 0.161) (multiplicity 1)
O (0.287, 0.162, 0.162) (multiplicity 1)
O (0.321, 0.662, 0.662) (multiplicity 1)
O (0.735, 0.332, 0.822) (multiplicity 1)
O (0.736, 0.823, 0.332) (multiplicity 1)
O (0.737, 0.828, 0.827) (multiplicity 1)
O (0.805, 0.318, 0.316) (multiplicity 1)

Peak list (6 most intense, 10° ≤ 2θ ≤ 90°, in order of rising 2θ)
(hkl), 2θ (°), I (rel.)
1 0 0, 18.08, 100
1 1 0, 25.38, 52
1 1 1, 25.50, 27
0 2 0, 35.77, 34
1 2 0, 40.34, 48
2 2 0, 52.15, 37



Record 5
# ScMo3O8
Computed powder diffraction line list, Cu Kα (λ = 1.5418 Å). Input: a PBE+U-relaxed structure.
Neutral-atom scattering factors, no anomalous dispersion.

Cell and atoms:
a = 4.543 Å, b = 6.106 Å, c = 6.112 Å
α = 118.20°, β = 90.41°, γ = 90.30°
Space group P-1 (No. 2)
Symmetry-distinct sites (fractional):
Sc (0.000, 0.000, 0.000) (multiplicity 1)
Mo (0.500, 0.000, 0.500) (multiplicity 1)
Mo (0.500, 0.500, 0.000) (multiplicity 1)
Mo (0.500, 0.500, 0.500) (multiplicity 1)
O (0.261, 0.339, 0.176) (multiplicity 2)
O (0.267, 0.845, 0.653) (multiplicity 2)
O (0.270, 0.826, 0.165) (multiplicity 2)
O (0.276, 0.321, 0.650) (multiplicity 2)

Peak list (6 most intense, 10° ≤ 2θ ≤ 90°, in order of rising 2θ)
(hkl), 2θ (°), I (rel.)
1 0 0, 19.54, 100
1 0 -1, 25.53, 32
0 0 2, 33.28, 56
1 -2 0, 38.72, 34
1 0 2, 39.07, 34
1 2 -2, 39.69, 41



Record 6
# Si4MoO10
Computed powder diffraction line list, Cu Kα (λ = 1.5418 Å). Input: a PBE+U-relaxed structure.
Neutral-atom scattering factors, no anomalous dispersion.

Cell and atoms:
a = 7.556 Å, b = 7.556 Å, c = 15.773 Å
α = 90.00°, β = 90.00°, γ = 90.00°
Space group P4/ncc (No. 130, origin choice 2)
Symmetry-distinct sites (fractional):
Si (0.009, 0.081, 0.152) (multiplicity 16)
Mo (0.250, 0.250, 0.422) (multiplicity 4)
O (0.006, 0.208, 0.633) (multiplicity 16)
O (0.021, 0.131, 0.410) (multiplicity 16)
O (0.045, 0.545, 0.250) (multiplicity 8)

Peak list (6 most intense, 10° ≤ 2θ ≤ 90°, in order of rising 2θ)
(hkl), 2θ (°), I (rel.)
1 1 0, 16.59, 78
0 0 4, 22.55, 73
1 0 4, 25.48, 93
2 0 2, 26.15, 45
2 1 2, 28.74, 100
3 2 4, 49.24, 31